No. 1
For DyTm4Lu2Ni2S2, a DFT-relaxed cell (PBE, OQMD) gives the computed PXRD pattern in this record (Cu Ka).
Intensities are scaled so that the largest is 100.

The 8 most intense peaks (10 to 80 degrees two-theta), in order of falling intensity:
- 35.90 deg, intensity 100
- 31.77 deg, intensity 70
- 30.29 deg, intensity 68
- 35.06 deg, intensity 56
- 36.35 deg, intensity 51
- 32.27 deg, intensity 42
- 57.23 deg, intensity 36
- 48.98 deg, intensity 29

Crystal structure
a = 8.774 Å, b = 8.774 Å, c = 8.774 Å
α = 155.53°, β = 67.66°, γ = 118.03°
Fractional coordinates of all 11 atoms:
Dy 0.000 0.000 0.000
Tm 0.116 0.751 0.364
Tm 0.387 0.751 0.636
Tm 0.475 0.595 0.880
Tm 0.716 0.595 0.120
Lu 0.073 0.388 0.685
Lu 0.703 0.388 0.315
Ni 0.325 0.085 0.240
Ni 0.844 0.085 0.760
S 0.345 0.345 0.000
S 0.750 0.250 0.500

No. 2
For KAgGeSeS2, a DFT-relaxed cell (PBE, OQMD) gives the computed PXRD pattern in this record (Cu Ka).
Intensities are scaled so that the largest is 100.

The 8 most intense peaks (10 to 80 degrees two-theta), in order of falling intensity:
- 11.34 deg, intensity 100
- 31.72 deg, intensity 66
- 33.86 deg, intensity 40
- 30.55 deg, intensity 35
- 40.02 deg, intensity 24
- 38.46 deg, intensity 22
- 46.24 deg, intensity 20
- 53.40 deg, intensity 18

Crystal structure
a = 8.000 Å, b = 8.000 Å, c = 10.590 Å
α = 90.00°, β = 90.00°, γ = 154.44°
Fractional coordinates of all 12 atoms:
K 0.221 0.779 0.750
K 0.779 0.221 0.250
Ag 0.095 0.905 0.250
Ag 0.905 0.095 0.750
Ge 0.500 0.500 0.000
Ge 0.500 0.500 0.500
Se 0.455 0.545 0.250
Se 0.545 0.455 0.750
S 0.112 0.888 0.024
S 0.112 0.888 0.476
S 0.888 0.112 0.524
S 0.888 0.112 0.976

No. 3
For Lu3Tl2Cu5Se8, a DFT-relaxed cell (PBE, OQMD) gives the computed PXRD pattern in this record (Cu Ka).
Intensities are scaled so that the largest is 100.

The 8 most intense peaks (10 to 80 degrees two-theta), in order of falling intensity:
- 29.74 deg, intensity 100
- 32.60 deg, intensity 69
- 44.66 deg, intensity 58
- 28.88 deg, intensity 42
- 38.48 deg, intensity 41
- 42.19 deg, intensity 41
- 35.34 deg, intensity 40
- 40.34 deg, intensity 38

Crystal structure
a = 7.445 Å, b = 7.445 Å, c = 14.676 Å
α = 109.83°, β = 109.83°, γ = 31.63°
Fractional coordinates of all 18 atoms:
Lu 0.000 0.000 0.000
Lu 0.136 0.136 0.385
Lu 0.835 0.835 0.617
Tl 0.158 0.158 0.795
Tl 0.809 0.809 0.201
Cu 0.388 0.388 0.462
Cu 0.451 0.451 0.809
Cu 0.528 0.528 0.193
Cu 0.584 0.584 0.538
Cu 0.784 0.784 0.970
Se 0.125 0.125 0.194
Se 0.187 0.187 0.587
Se 0.378 0.378 0.045
Se 0.477 0.477 0.644
Se 0.495 0.495 0.357
Se 0.608 0.608 0.953
Se 0.786 0.786 0.415
Se 0.854 0.854 0.814

No. 4
For In2Pd7, a DFT-relaxed cell (PBE, OQMD) gives the computed PXRD pattern in this record (Cu Ka).
Intensities are scaled so that the largest is 100.

The 8 most intense peaks (10 to 80 degrees two-theta), in order of falling intensity:
- 38.58 deg, intensity 100
- 46.04 deg, intensity 52
- 37.61 deg, intensity 46
- 44.25 deg, intensity 43
- 64.39 deg, intensity 34
- 39.54 deg, intensity 26
- 42.50 deg, intensity 16
- 11.09 deg, intensity 16

Crystal structure
a = 2.895 Å, b = 2.895 Å, c = 31.906 Å
α = 90.07°, β = 90.07°, γ = 60.00°
Fractional coordinates of all 9 atoms:
In 0.167 0.167 0.221
In 0.833 0.833 0.779
Pd 0.166 0.166 0.637
Pd 0.167 0.167 0.432
Pd 0.500 0.500 0.293
Pd 0.500 0.500 0.500
Pd 0.500 0.500 0.707
Pd 0.833 0.833 0.568
Pd 0.834 0.834 0.363

No. 5
For Pd2S3, a DFT-relaxed cell (PBE, OQMD) gives the computed PXRD pattern in this record (Cu Ka).
Intensities are scaled so that the largest is 100.

The 8 most intense peaks (10 to 80 degrees two-theta), in order of falling intensity:
- 43.27 deg, intensity 100
- 28.78 deg, intensity 63
- 32.92 deg, intensity 55
- 15.66 deg, intensity 51
- 50.99 deg, intensity 43
- 69.05 deg, intensity 24
- 17.31 deg, intensity 22
- 19.55 deg, intensity 15

Crystal structure
a = 6.699 Å, b = 6.699 Å, c = 6.699 Å
α = 55.18°, β = 55.18°, γ = 55.18°
Fractional coordinates of all 10 atoms:
Pd 0.000 0.000 0.000
Pd 0.174 0.174 0.174
Pd 0.500 0.500 0.500
Pd 0.826 0.826 0.826
S 0.097 0.766 0.410
S 0.234 0.590 0.903
S 0.410 0.097 0.766
S 0.590 0.903 0.234
S 0.766 0.410 0.097
S 0.903 0.234 0.590

No. 6
For Ba2ZnCdTe2O2, a DFT-relaxed cell (PBE, OQMD) gives the computed PXRD pattern in this record (Cu Ka).
Intensities are scaled so that the largest is 100.

The 8 most intense peaks (10 to 80 degrees two-theta), in order of falling intensity:
- 31.20 deg, intensity 100
- 24.30 deg, intensity 85
- 40.96 deg, intensity 75
- 27.08 deg, intensity 51
- 48.21 deg, intensity 36
- 49.98 deg, intensity 36
- 27.38 deg, intensity 33
- 36.26 deg, intensity 27

Crystal structure
a = 4.406 Å, b = 4.406 Å, c = 13.028 Å
α = 90.00°, β = 90.00°, γ = 120.00°
Fractional coordinates of all 8 atoms:
Ba 0.000 0.000 0.000
Ba 0.333 0.667 0.486
Zn 0.667 0.333 0.288
Cd 0.667 0.333 0.785
Te 0.000 0.000 0.692
Te 0.333 0.667 0.209
O 0.667 0.333 0.435
O 0.667 0.333 0.951